(1)
Starting from the PBE geometry in the Materials Project, the powder X-ray diffraction pattern of Ti4P6PbO24 was computed for a wavelength of 1.5418 Å.
Intensities are scaled so that the largest is 100.

Main lines, sorted by position (10° ≤ 2θ ≤ 80°):
2theta, Rel. int.
11.6, 41
12.7, 90
21.0, 71
22.9, 25
24.1, 100
31.6, 91
32.6, 26
33.3, 21
36.9, 27
49.3, 28

Crystal structure
abc: 9.0738 9.0738 9.0738
angles: 55.47 55.47 55.47
Atoms (fractional coordinates):
Ti (0.1455, 0.1455, 0.1455)
Ti (0.3499, 0.3499, 0.3499)
Ti (0.6501, 0.6501, 0.6501)
Ti (0.8545, 0.8545, 0.8545)
P (0.0362, 0.7495, 0.4698)
P (0.2505, 0.5302, 0.9638)
P (0.4698, 0.0362, 0.7495)
P (0.5302, 0.9638, 0.2505)
P (0.7495, 0.4698, 0.0362)
P (0.9638, 0.2505, 0.5302)
Pb (0.5000, 0.5000, 0.5000)
O (0.0178, 0.7295, 0.6592)
O (0.0349, 0.9497, 0.3154)
O (0.0503, 0.6846, 0.9651)
O (0.1280, 0.2850, 0.5027)
O (0.2293, 0.5935, 0.4017)
O (0.2705, 0.3408, 0.9822)
O (0.2850, 0.5027, 0.1280)
O (0.3154, 0.0349, 0.9497)
O (0.3408, 0.9822, 0.2705)
O (0.4017, 0.2293, 0.5935)
O (0.4065, 0.5983, 0.7707)
O (0.4973, 0.8720, 0.7150)
O (0.5027, 0.1280, 0.2850)
O (0.5935, 0.4017, 0.2293)
O (0.5983, 0.7707, 0.4065)
O (0.6592, 0.0178, 0.7295)
O (0.6846, 0.9651, 0.0503)
O (0.7150, 0.4973, 0.8720)
O (0.7295, 0.6592, 0.0178)
O (0.7707, 0.4065, 0.5983)
O (0.8720, 0.7150, 0.4973)
O (0.9497, 0.3154, 0.0349)
O (0.9651, 0.0503, 0.6846)
O (0.9822, 0.2705, 0.3408)

***

(2)
Starting from the PBE geometry in the Materials Project, the powder X-ray diffraction pattern of Li5Mg was computed for a wavelength of 1.5418 Å.
Intensities are scaled so that the largest is 100.

Main lines, sorted by position (10° ≤ 2θ ≤ 80°):
2theta, Rel. int.
11.3, 100
17.8, 36
21.1, 47
29.0, 21
33.4, 32
34.4, 26
36.1, 36
38.1, 97
38.9, 45
50.0, 24

Crystal structure
abc: 4.9781 3.1234 15.7158
angles: 90.00 90.00 90.00
Atoms (fractional coordinates):
Li (0.0000, 0.0000, 0.0000)
Li (0.0000, 0.0000, 0.3334)
Li (0.0000, 0.0000, 0.6661)
Li (0.0000, 0.5000, 0.1661)
Li (0.0000, 0.5000, 0.5000)
Li (0.0000, 0.5000, 0.8334)
Li (0.5000, 0.0000, 0.1120)
Li (0.5000, 0.0000, 0.7779)
Li (0.5000, 0.5000, 0.2779)
Li (0.5000, 0.5000, 0.6120)
Mg (0.5000, 0.0000, 0.4458)
Mg (0.5000, 0.5000, 0.9458)

***

(3)
Starting from the PBE geometry in the Materials Project, the powder X-ray diffraction pattern of RbNb4Br11 was computed for a wavelength of 1.5418 Å.
Intensities are scaled so that the largest is 100.

Main lines, sorted by position (10° ≤ 2θ ≤ 80°):
2theta, Rel. int.
12.0, 100
31.2, 84
31.4, 24
32.0, 50
34.2, 85
35.8, 23
37.8, 24
44.1, 55
49.1, 24
55.7, 23

Crystal structure
abc: 17.1109 7.4229 7.3936
angles: 90.00 90.00 90.00
Atoms (fractional coordinates):
Rb (0.2500, 0.0000, 0.0029)
Rb (0.7500, 0.0000, 0.9971)
Nb (0.0000, 0.2920, 0.5000)
Nb (0.0000, 0.7080, 0.5000)
Nb (0.1394, 0.5000, 0.3839)
Nb (0.3606, 0.5000, 0.3839)
Nb (0.5000, 0.2920, 0.5000)
Nb (0.5000, 0.7080, 0.5000)
Nb (0.6394, 0.5000, 0.6161)
Nb (0.8606, 0.5000, 0.6161)
Br (0.0784, 0.2472, 0.1903)
Br (0.0784, 0.7528, 0.1903)
Br (0.0840, 0.0000, 0.6331)
Br (0.0861, 0.5000, 0.7125)
Br (0.2500, 0.2656, 0.5152)
Br (0.2500, 0.5000, 0.1024)
Br (0.2500, 0.7344, 0.5152)
Br (0.4139, 0.5000, 0.7125)
Br (0.4160, 0.0000, 0.6331)
Br (0.4216, 0.2472, 0.1903)
Br (0.4216, 0.7528, 0.1903)
Br (0.5784, 0.2472, 0.8097)
Br (0.5784, 0.7528, 0.8097)
Br (0.5840, 0.0000, 0.3669)
Br (0.5861, 0.5000, 0.2875)
Br (0.7500, 0.2656, 0.4848)
Br (0.7500, 0.5000, 0.8976)
Br (0.7500, 0.7344, 0.4848)
Br (0.9139, 0.5000, 0.2875)
Br (0.9160, 0.0000, 0.3669)
Br (0.9216, 0.2472, 0.8097)
Br (0.9216, 0.7528, 0.8097)

***

(4)
Starting from the PBE geometry in the Materials Project, the powder X-ray diffraction pattern of Mg14NbSi was computed for a wavelength of 1.5418 Å.
Intensities are scaled so that the largest is 100.

Main lines, sorted by position (10° ≤ 2θ ≤ 80°):
2theta, Rel. int.
16.4, 16
18.6, 15
33.1, 26
35.6, 26
37.8, 100
49.4, 16
59.2, 17
65.3, 19
71.0, 19
72.4, 13

Crystal structure
abc: 6.2435 6.2435 10.0904
angles: 90.00 90.00 120.00
Atoms (fractional coordinates):
Mg (0.0000, 0.0000, 0.2450)
Mg (0.0000, 0.0000, 0.7550)
Mg (0.0132, 0.5066, 0.2495)
Mg (0.0132, 0.5066, 0.7505)
Mg (0.3317, 0.1658, 0.5000)
Mg (0.3369, 0.1684, 0.0000)
Mg (0.4934, 0.5066, 0.2495)
Mg (0.4934, 0.5066, 0.7505)
Mg (0.4934, 0.9868, 0.2495)
Mg (0.4934, 0.9868, 0.7505)
Mg (0.8316, 0.1684, 0.0000)
Mg (0.8316, 0.6631, 0.0000)
Mg (0.8342, 0.1658, 0.5000)
Mg (0.8342, 0.6683, 0.5000)
Nb (0.3333, 0.6667, 0.0000)
Si (0.3333, 0.6667, 0.5000)